(1)
This entry pairs a crystal structure of Re3Br8Cl with its calculated powder X-ray diffraction pattern. Radiation: λ = 1.5418 Å (Cu Kα). Structure: a cell relaxed with PBE.
Peak positions follow from Bragg's law for the DFT cell and can differ from measured ones.

Main lines, low angle first (15° ≤ 2θ ≤ 90°):
| Position (°2θ) | I_rel | index |
| --- | --- | --- |
| 16.44 | 43 | 0 2 0 |
| 17.34 | 41 | 3 1 -1 |
| 28.64 | 43 | 1 3 1 |
| 33.06 | 86 | 6 0 -3 |
| 34.75 | 45 | 0 4 1 |
| 34.90 | 100 | 3 1 2 |
| 38.68 | 49 | 2 4 1 |
| 41.88 | 43 | 8 0 -3 |
| 45.85 | 41 | 1 5 -2 |
| 51.42 | 39 | 9 1 -1 |

a b c (Å): 17.4399 10.8167 10.1902
angles (deg): 90.00 121.70 90.00
Space group Cm (No. 8)
Unique sites:
Re (0.0000, 0.0000, 0.0000)
Re (0.0981, 0.3858, 0.5154)
Re (0.1143, 0.1142, 0.2288)
Re (0.2132, 0.5000, 0.7451)
Br (0.0271, 0.1597, 0.3609)
Br (0.0659, 0.0000, 0.8417)
Br (0.1472, 0.5000, 0.9033)
Br (0.1839, 0.3412, 0.3803)
Br (0.2178, 0.2624, 0.7501)
Br (0.2247, 0.1590, 0.1593)
Br (0.2339, 0.0000, 0.4721)
Br (0.3448, 0.5000, 0.7017)
Br (0.3686, 0.5000, 0.0434)
Br (0.4780, 0.0000, 0.2719)
Br (0.4877, 0.1587, 0.5847)
Cl (0.4994, 0.2759, 0.0021)

=====

(2)
This entry pairs a crystal structure of Ce4P3F with its calculated powder X-ray diffraction pattern. Radiation: λ = 1.5418 Å (Cu Kα). Structure: a cell relaxed with PBE.
Peak positions follow from Bragg's law for the DFT cell and can differ from measured ones.

Main lines, low angle first (15° ≤ 2θ ≤ 90°):
| Position (°2θ) | I_rel | index |
| --- | --- | --- |
| 27.18 | 43 | 1 2 0 |
| 27.37 | 42 | 0 2 2 |
| 31.60 | 100 | 1 0 2 |
| 45.01 | 12 | 2 0 0 |
| 45.31 | 48 | 1 4 2 |
| 53.48 | 14 | 2 2 2 |
| 53.80 | 20 | 1 2 4 |
| 56.06 | 13 | 2 4 0 |
| 56.48 | 12 | 0 4 4 |
| 83.94 | 12 | 1 4 6 |

a b c (Å): 4.0285 11.3085 7.9754
angles (deg): 90.00 90.00 90.00
Space group Amm2 (No. 38)
Unique sites:
Ce (0.0000, 0.0000, 0.0000)
Ce (0.0000, 0.0000, 0.4972)
Ce (0.5000, 0.2481, 0.2487)
P (0.0000, 0.2500, 0.4987)
P (0.5000, 0.0000, 0.7486)
F (0.5000, 0.0000, 0.2492)